Entry 1:
# Sc3Ga2Ge
Computed PXRD pattern, Cu Kα, 1.54184 Å. Input: a crystal structure in Alexandria, relaxed with PBE.
Neutral-atom scattering factors, no anomalous dispersion.

Peak list (10 most intense, 2θ from 10° to 90°, by angle)
| 2theta | I/Imax |
| --- | --- |
| 22.58 | 283 |
| 25.56 | 290 |
| 32.24 | 522 |
| 33.51 | 1000 |
| 36.95 | 928 |
| 40.23 | 723 |
| 43.30 | 566 |
| 46.38 | 569 |
| 47.92 | 432 |
| 68.90 | 276 |

Cell and atoms:
```
data_Sc3Ga2Ge
_chemical_formula_sum 'Sc12 Ga8 Ge4'
_space_group_name_H-M_alt 'P n m a'
_space_group_IT_number 62
_cell_length_a 11.2894
_cell_length_b 3.9155
_cell_length_c 10.9928
_cell_angle_alpha 90.00
_cell_angle_beta 90.00
_cell_angle_gamma 90.00
loop_
_space_group_symop_operation_xyz
'x,y,z'
'-x,-y,-z'
'-x+1/2,-y,z+1/2'
'x+1/2,y,-z+1/2'
'x+1/2,-y+1/2,-z+1/2'
'-x+1/2,y+1/2,z+1/2'
'-x,y+1/2,-z'
'x,-y+1/2,z'
loop_
_atom_site_label
_atom_site_type_symbol
_atom_site_fract_x
_atom_site_fract_y
_atom_site_fract_z
Sc1 Sc 0.0521 0.2500 0.1195
Sc2 Sc 0.1199 0.7500 0.5569
Sc3 Sc 0.2188 0.2500 0.7895
Ga1 Ga 0.0028 0.7500 0.3016
Ga2 Ga 0.1861 0.7500 0.0066
Ge1 Ge 0.1290 0.2500 0.3717
```

Entry 2:
# Mn2Pt5
Computed PXRD pattern, Cu Kα, 1.54184 Å. Input: a crystal structure in Alexandria, relaxed with PBE.
Neutral-atom scattering factors, no anomalous dispersion.

Peak list (10 most intense, 2θ from 10° to 90°, by angle)
| 2theta | I/Imax |
| --- | --- |
| 23.68 | 215 |
| 37.22 | 338 |
| 37.69 | 326 |
| 39.29 | 748 |
| 42.19 | 1000 |
| 42.38 | 998 |
| 42.71 | 742 |
| 55.58 | 208 |
| 67.73 | 292 |
| 73.47 | 191 |

Cell and atoms:
```
data_Mn2Pt5
_chemical_formula_sum 'Mn8 Pt20'
_space_group_name_H-M_alt 'C 1 2/c 1'
_space_group_IT_number 15
_cell_length_a 12.4754
_cell_length_b 4.7730
_cell_length_c 7.2195
_cell_angle_alpha 90.00
_cell_angle_beta 93.24
_cell_angle_gamma 90.00
loop_
_space_group_symop_operation_xyz
'x,y,z'
'-x,-y,-z'
'-x,y,-z+1/2'
'x,-y,z+1/2'
'x+1/2,y+1/2,z'
'-x+1/2,-y+1/2,-z'
'-x+1/2,y+1/2,-z+1/2'
'x+1/2,-y+1/2,z+1/2'
loop_
_atom_site_label
_atom_site_type_symbol
_atom_site_fract_x
_atom_site_fract_y
_atom_site_fract_z
Mn1 Mn 0.0754 0.1813 0.1046
Pt1 Pt 0.0000 0.3145 0.7500
Pt2 Pt 0.1358 0.3203 0.4592
Pt3 Pt 0.2134 0.1715 0.8182
```

Entry 3:
# Cs2TaBr6Cl
Computed PXRD pattern, Cu Kα, 1.54184 Å. Input: a crystal structure in Alexandria, relaxed with PBE.
Neutral-atom scattering factors, no anomalous dispersion.

Peak list (10 most intense, 2θ from 10° to 90°, by angle)
| 2theta | I/Imax |
| --- | --- |
| 13.03 | 690 |
| 21.35 | 663 |
| 26.22 | 580 |
| 30.37 | 1000 |
| 37.43 | 218 |
| 39.79 | 305 |
| 43.49 | 646 |
| 48.94 | 240 |
| 58.69 | 214 |
| 71.71 | 211 |

Cell and atoms:
```
data_Cs2TaBr6Cl
_chemical_formula_sum 'Cs8 Ta4 Br24 Cl4'
_space_group_name_H-M_alt 'F m -3 m'
_space_group_IT_number 225
_space_group_name_Hall '-F 4 2 3'
_cell_length_a 11.7721
_cell_length_b 11.7721
_cell_length_c 11.7721
_cell_angle_alpha 90.00
_cell_angle_beta 90.00
_cell_angle_gamma 90.00
loop_
_atom_site_label
_atom_site_type_symbol
_atom_site_fract_x
_atom_site_fract_y
_atom_site_fract_z
Cs1 Cs 0.2500 0.2500 0.2500
Ta1 Ta 0.0000 0.0000 0.0000
Br1 Br 0.0000 0.0000 0.2165
Cl1 Cl 0.0000 0.0000 0.5000
```

Entry 4:
# Pa2In
Computed PXRD pattern, Cu Kα, 1.54184 Å. Input: a crystal structure in Alexandria, relaxed with PBE.
Neutral-atom scattering factors, no anomalous dispersion.

Peak list (10 most intense, 2θ from 10° to 90°, by angle)
| 2theta | I/Imax |
| --- | --- |
| 10.23 | 152 |
| 31.01 | 416 |
| 34.32 | 1000 |
| 38.90 | 703 |
| 54.01 | 285 |
| 58.31 | 214 |
| 63.60 | 166 |
| 67.52 | 276 |
| 69.44 | 134 |
| 72.33 | 117 |

Cell and atoms:
```
data_Pa2In
_chemical_formula_sum 'Pa2 In1'
_space_group_name_H-M_alt 'P -3 m 1'
_space_group_IT_number 164
_space_group_name_Hall '-P 3 2"'
_cell_length_a 3.1648
_cell_length_b 3.1648
_cell_length_c 8.6508
_cell_angle_alpha 90.00
_cell_angle_beta 90.00
_cell_angle_gamma 120.00
loop_
_atom_site_label
_atom_site_type_symbol
_atom_site_fract_x
_atom_site_fract_y
_atom_site_fract_z
Pa1 Pa 0.3333 0.6667 0.3300
In1 In 0.0000 0.0000 0.0000
```